Diffraction record for Sm2Fe2O5. The XRD peak list is theoretical, not measured: it uses a cell relaxed with PBE+U and Cu Kα (λ = 1.5418 Å).

Largest 10 diffraction maxima, in order of rising 2θ, 2θ from 10° to 80°:
2θ/deg  Rel. int.  hkl
20.24  57  0 0 2
21.22  66  0 1 0
25.67  46  0 1 2
31.43  63  1 0 2
31.55  64  1 0 -2
32.16  100  1 -1 0
32.91  92  0 1 -2
41.92  47  0 2 1
48.86  36  2 0 0
53.33  45  1 2 3

Lattice parameters (Å, degrees): 3.727 4.310 9.031 76.33 89.79 90.00
Space group P1 (No. 1)
Asymmetric unit:
Sm1 0.000 0.000 0.000 [1 per cell]
Sm2 0.003 0.213 0.561 [1 per cell]
Fe1 0.502 0.597 0.800 [1 per cell]
Fe2 0.503 0.811 0.363 [1 per cell]
O1 0.000 0.747 0.492 [1 per cell]
O2 0.001 0.555 0.891 [1 per cell]
O3 0.499 0.926 0.136 [1 per cell]
O4 0.502 0.109 0.779 [1 per cell]
O5 0.504 0.284 0.419 [1 per cell]